Record 1
The following is a simulated X-ray powder pattern of LaSn2Rh. It was derived from a crystal structure in the Materials Project, relaxed with GGA-PBE, using Cu Kα X-rays.
Lines closer than 0.1° are merged.

The 6 most intense peaks (2θ = 10–80°), sorted by position:
2θ/deg  I_rel
30.63  32
30.75  100
34.33  31
38.50  35
39.21  33
56.13  23

Lattice parameters (Å, degrees): 9.7239 9.7239 4.6763 90.00 90.00 152.67
Atoms (fractional coordinates):
1 La 0.1095 0.8905 0.7500
2 La 0.8905 0.1095 0.2500
3 Sn 0.2516 0.7484 0.2500
4 Sn 0.4557 0.5443 0.7500
5 Sn 0.5443 0.4557 0.2500
6 Sn 0.7484 0.2516 0.7500
7 Rh 0.3201 0.6799 0.7500
8 Rh 0.6799 0.3201 0.2500

Record 2
The following is a simulated X-ray powder pattern of LaZnRh. It was derived from a crystal structure in the Materials Project, relaxed with GGA-PBE, using Cu Kα X-rays.
Lines closer than 0.1° are merged.

The 6 most intense peaks (2θ = 10–80°), sorted by position:
2θ/deg  I_rel
32.57  40
33.01  80
34.77  53
36.47  100
42.65  25
44.36  44

Lattice parameters (Å, degrees): 7.4375 4.0838 16.6397 90.00 90.00 90.00
Atoms (fractional coordinates):
1 La 0.0464 0.2500 0.2174
2 La 0.1698 0.2500 0.4402
3 La 0.3302 0.7500 0.9402
4 La 0.4536 0.7500 0.7174
5 La 0.5464 0.2500 0.2826
6 La 0.6698 0.2500 0.0598
7 La 0.8302 0.7500 0.5598
8 La 0.9536 0.7500 0.7826
9 Zn 0.0020 0.7500 0.0600
10 Zn 0.1292 0.2500 0.6490
11 Zn 0.3708 0.7500 0.1490
12 Zn 0.4980 0.2500 0.5600
13 Zn 0.5020 0.7500 0.4400
14 Zn 0.6292 0.2500 0.8510
15 Zn 0.8708 0.7500 0.3510
16 Zn 0.9980 0.2500 0.9400
17 Rh 0.2403 0.2500 0.0654
18 Rh 0.2485 0.2500 0.8148
19 Rh 0.2515 0.7500 0.3148
20 Rh 0.2597 0.7500 0.5654
21 Rh 0.7403 0.2500 0.4346
22 Rh 0.7485 0.2500 0.6852
23 Rh 0.7515 0.7500 0.1852
24 Rh 0.7597 0.7500 0.9346

Record 3
The following is a simulated X-ray powder pattern of La3Ru. It was derived from a crystal structure in the Materials Project, relaxed with GGA-PBE, using Cu Kα X-rays.
Lines closer than 0.1° are merged.

The 6 most intense peaks (2θ = 10–80°), sorted by position:
2θ/deg  I_rel
29.06  32
29.67  100
29.92  29
30.94  64
32.12  52
32.92  63

Lattice parameters (Å, degrees): 7.3888 10.1419 6.6049 90.00 90.00 90.00
Atoms (fractional coordinates):
1 La 0.0507 0.2500 0.1495
2 La 0.1683 0.0692 0.6709
3 La 0.1683 0.4308 0.6709
4 La 0.3317 0.5692 0.1709
5 La 0.3317 0.9308 0.1709
6 La 0.4493 0.7500 0.6495
7 La 0.5507 0.2500 0.3505
8 La 0.6683 0.0692 0.8291
9 La 0.6683 0.4308 0.8291
10 La 0.8317 0.5692 0.3291
11 La 0.8317 0.9308 0.3291
12 La 0.9493 0.7500 0.8505
13 Ru 0.1267 0.7500 0.4451
14 Ru 0.3733 0.2500 0.9451
15 Ru 0.6267 0.7500 0.0549
16 Ru 0.8733 0.2500 0.5549

Record 4
The following is a simulated X-ray powder pattern of La3Ru. It was derived from a crystal structure in the Materials Project, relaxed with GGA-PBE, using Cu Kα X-rays.
Lines closer than 0.1° are merged.

The 6 most intense peaks (2θ = 10–80°), sorted by position:
2θ/deg  I_rel
32.20  26
32.69  100
40.53  28
52.68  26
57.72  19
68.79  23

Lattice parameters (Å, degrees): 6.3892 6.3892 6.3892 139.22 139.22 59.03
Atoms (fractional coordinates):
1 La 0.0000 0.0000 0.0000
2 La 0.2500 0.7500 0.5000
3 La 0.7500 0.2500 0.5000
4 Ru 0.5000 0.5000 0.0000

Record 5
The following is a simulated X-ray powder pattern of LaSi2Ru. It was derived from a crystal structure in the Materials Project, relaxed with GGA-PBE, using Cu Kα X-rays.
Lines closer than 0.1° are merged.

The 6 most intense peaks (2θ = 10–80°), sorted by position:
2θ/deg  I_rel
29.98  90
30.76  68
32.64  60
33.02  66
34.57  61
39.53  100

Lattice parameters (Å, degrees): 4.5649 4.1122 8.4150 90.00 102.33 90.00
Atoms (fractional coordinates):
1 La 0.0877 0.2500 0.2006
2 La 0.9123 0.7500 0.7994
3 Si 0.1691 0.7500 0.4916
4 Si 0.4623 0.2500 0.9090
5 Si 0.5377 0.7500 0.0910
6 Si 0.8309 0.2500 0.5084
7 Ru 0.3786 0.2500 0.6112
8 Ru 0.6214 0.7500 0.3888

Record 6
The following is a simulated X-ray powder pattern of LaSi2Ru2. It was derived from a crystal structure in the Materials Project, relaxed with GGA-PBE, using Cu Kα X-rays.
Lines closer than 0.1° are merged.

The 6 most intense peaks (2θ = 10–80°), sorted by position:
2θ/deg  I_rel
22.75  26
34.22  33
34.86  100
42.57  41
63.94  21
72.93  23

Lattice parameters (Å, degrees): 5.8276 5.8276 5.8276 137.25 137.25 62.05
Atoms (fractional coordinates):
1 La 0.0000 0.0000 0.0000
2 Si 0.3608 0.3608 0.0000
3 Si 0.6392 0.6392 0.0000
4 Ru 0.2500 0.7500 0.5000
5 Ru 0.7500 0.2500 0.5000